[1]
Diffraction record for Dy2NiOs3. The XRD peak list is calculated, not measured: it uses a DFT-relaxed cell (GGA-PBE, Alexandria) and Cu Ka.
Kinematic intensities with the Lorentz-polarization factor, no thermal factor.

Cell and atoms:
Cell: 9.111 5.252 5.334 Å, 90.00 124.70 90.00°
Space group C2/m (No. 12)
One atom of each set of equivalent atoms:
Dy (0.123, 0.000, 0.369) (multiplicity 4)
Ni (0.000, 0.500, 0.500) (multiplicity 2)
Os (0.000, 0.500, 0.000) (multiplicity 2)
Os (0.250, 0.250, 0.000) (multiplicity 4)

The 8 most intense peaks (10° ≤ 2θ ≤ 80°), sorted by position:
Position (°2θ), d [Å], Rel. int., (hkl)
20.25, 4.386, 27, 0 0 1
33.62, 2.666, 60, 1 1 1
39.56, 2.278, 48, 2 0 1
39.99, 2.254, 85, 3 1 0
40.21, 2.243, 100, 4 0 -1
42.00, 2.151, 68, 2 2 0
70.66, 1.333, 32, 2 2 2
71.84, 1.314, 31, 0 4 0

***

[2]
Diffraction record for Dy3Ni2P3. The XRD peak list is calculated, not measured: it uses a DFT-relaxed cell (GGA-PBE, Alexandria) and Cu Ka.
Kinematic intensities with the Lorentz-polarization factor, no thermal factor.

Cell and atoms:
Cell: 3.947 10.393 13.582 Å, 90.00 90.00 90.00°
Space group Cmcm (No. 63)
One atom of each set of equivalent atoms:
Dy (0.000, 0.075, 0.108) (multiplicity 8)
Dy (0.000, 0.360, 0.250) (multiplicity 4)
Ni (0.000, 0.224, 0.594) (multiplicity 8)
P (0.000, 0.344, 0.750) (multiplicity 4)
P (0.000, 0.366, 0.048) (multiplicity 8)

The 8 most intense peaks (10° ≤ 2θ ≤ 80°), sorted by position:
Position (°2θ), d [Å], Rel. int., (hkl)
26.10, 3.414, 48, 0 2 3
27.51, 3.242, 28, 1 1 2
35.11, 2.556, 100, 1 3 1
35.94, 2.499, 100, 1 1 4
39.82, 2.264, 29, 0 0 6
39.96, 2.256, 77, 1 3 3
45.99, 1.973, 36, 2 0 0
59.42, 1.556, 39, 1 3 7

***

[3]
Diffraction record for Dy2Ni12P7. The XRD peak list is calculated, not measured: it uses a DFT-relaxed cell (GGA-PBE, Alexandria) and Cu Ka.
Kinematic intensities with the Lorentz-polarization factor, no thermal factor.

Cell and atoms:
Cell: 9.0664 9.0664 3.6953 Å, 90.00 90.00 120.00°
Space group P-3 (No. 147)
One atom of each set of equivalent atoms:
Dy (0.3333, 0.6667, 0.2511) (multiplicity 2)
Ni (0.0571, 0.4345, 0.7501) (multiplicity 6)
Ni (0.1142, 0.2556, 0.2451) (multiplicity 6)
P (0.0000, 0.0000, 0.5000) (multiplicity 1)
P (0.1121, 0.7055, 0.7507) (multiplicity 6)

The 8 most intense peaks (10° ≤ 2θ ≤ 80°), sorted by position:
Position (°2θ), d [Å], Rel. int., (hkl)
26.66, 3.344, 11, 1 0 1
30.11, 2.968, 10, 2 1 0
38.92, 2.314, 100, 2 1 1
39.77, 2.267, 10, 2 2 0
49.32, 1.848, 15, 0 0 2
53.48, 1.713, 16, 1 4 0
68.09, 1.377, 9, 6 -4 1
75.69, 1.256, 11, 1 4 2

***

[4]
Diffraction record for PrDyNi2P2. The XRD peak list is calculated, not measured: it uses a DFT-relaxed cell (GGA-PBE, Alexandria) and Cu Ka.
Kinematic intensities with the Lorentz-polarization factor, no thermal factor.

Cell and atoms:
Cell: 3.9313 3.9313 7.9829 Å, 90.00 90.00 120.00°
Space group P-3m1 (No. 164)
One atom of each set of equivalent atoms:
Pr (0.0000, 0.0000, 0.0000) (multiplicity 1)
Dy (0.0000, 0.0000, 0.5000) (multiplicity 1)
Ni (0.3333, 0.6667, 0.7415) (multiplicity 2)
P (0.3333, 0.6667, 0.2622) (multiplicity 2)

The 8 most intense peaks (10° ≤ 2θ ≤ 80°), sorted by position:
Position (°2θ), d [Å], Rel. int., (hkl)
26.17, 3.405, 27, 1 0 0
34.63, 2.590, 100, 0 1 2
45.45, 1.996, 12, 0 0 4
46.18, 1.966, 34, 1 1 0
58.99, 1.566, 21, 2 0 2
66.80, 1.400, 21, 1 1 4
76.94, 1.239, 10, 0 1 6
78.02, 1.225, 18, 1 2 2

***

[5]
Diffraction record for DyPa2Ni6. The XRD peak list is calculated, not measured: it uses a DFT-relaxed cell (GGA-PBE, Alexandria) and Cu Ka.
Kinematic intensities with the Lorentz-polarization factor, no thermal factor.

Cell and atoms:
Cell: 3.411 6.887 12.962 Å, 90.00 90.00 90.00°
Space group Immm (No. 71)
One atom of each set of equivalent atoms:
Dy (0.000, 0.000, 0.000) (multiplicity 2)
Pa (0.000, 0.500, 0.144) (multiplicity 4)
Ni (0.000, 0.177, 0.500) (multiplicity 4)
Ni (0.000, 0.306, 0.323) (multiplicity 8)

The 8 most intense peaks (10° ≤ 2θ ≤ 80°), sorted by position:
Position (°2θ), d [Å], Rel. int., (hkl)
24.32, 3.660, 74, 0 1 3
32.38, 2.765, 60, 1 1 2
37.76, 2.382, 100, 1 2 1
40.57, 2.224, 92, 1 1 4
41.81, 2.160, 35, 0 0 6
44.70, 2.027, 72, 0 3 3
63.19, 1.471, 30, 1 2 7
72.41, 1.305, 33, 2 3 3

***

[6]
Diffraction record for Dy4Ni2Pb. The XRD peak list is calculated, not measured: it uses a DFT-relaxed cell (GGA-PBE, Alexandria) and Cu Ka.
Kinematic intensities with the Lorentz-polarization factor, no thermal factor.

Cell and atoms:
Cell: 4.6780 4.6780 28.3938 Å, 90.00 90.00 120.00°
Space group R-3m (No. 166, hexagonal axes)
One atom of each set of equivalent atoms:
Dy (0.0000, 0.0000, 0.1107) (multiplicity 6)
Dy (0.0000, 0.0000, 0.2992) (multiplicity 6)
Ni (0.0000, 0.0000, 0.3991) (multiplicity 6)
Pb (0.0000, 0.0000, 0.5000) (multiplicity 3)

The 8 most intense peaks (10° ≤ 2θ ≤ 80°), sorted by position:
Position (°2θ), d [Å], Rel. int., (hkl)
27.04, 3.298, 100, 0 1 5
38.49, 2.339, 78, 1 1 0
38.73, 2.325, 66, 1 0 10
47.67, 1.908, 22, 2 0 5
55.74, 1.649, 23, 0 2 10
62.86, 1.478, 20, 1 2 5
69.61, 1.351, 15, 3 0 0
69.78, 1.348, 23, 2 1 10

***

[7]
Diffraction record for Dy5NiPb4. The XRD peak list is calculated, not measured: it uses a DFT-relaxed cell (GGA-PBE, Alexandria) and Cu Ka.
Kinematic intensities with the Lorentz-polarization factor, no thermal factor.

Cell and atoms:
Cell: 9.661 9.661 6.210 Å, 90.00 90.00 90.00°
Space group I4 (No. 79)
One atom of each set of equivalent atoms:
Dy (0.000, 0.000, 0.000) (multiplicity 2)
Dy (0.108, 0.750, 0.541) (multiplicity 8)
Ni (0.000, 0.000, 0.481) (multiplicity 2)
Pb (0.069, 0.674, 0.043) (multiplicity 8)

The 8 most intense peaks (10° ≤ 2θ ≤ 80°), sorted by position:
Position (°2θ), d [Å], Rel. int., (hkl)
28.75, 3.105, 68, 0 0 2
29.23, 3.055, 100, 3 1 0
31.29, 2.859, 46, 3 0 1
36.52, 2.460, 40, 2 3 1
41.46, 2.178, 77, 3 1 2
41.81, 2.160, 25, 2 4 0
51.54, 1.773, 27, 2 4 2
60.13, 1.539, 26, 6 1 1

***

[8]
Diffraction record for Dy4Ni2Pd. The XRD peak list is calculated, not measured: it uses a DFT-relaxed cell (GGA-PBE, Alexandria) and Cu Ka.
Kinematic intensities with the Lorentz-polarization factor, no thermal factor.

Cell and atoms:
Cell: 7.305 7.312 7.613 Å, 110.30 109.80 106.59°
Space group P1 (No. 1)
One atom of each set of equivalent atoms:
Dy (0.000, 0.000, 0.000) (multiplicity 1)
Dy (0.043, 0.587, 0.631) (multiplicity 1)
Dy (0.103, 0.643, 0.176) (multiplicity 1)
Dy (0.239, 0.135, 0.563) (multiplicity 1)
Dy (0.510, 0.515, 0.455) (multiplicity 1)
Dy (0.559, 0.731, 0.043) (multiplicity 1)
Dy (0.614, 0.264, 0.067) (multiplicity 1)
Dy (0.731, 0.103, 0.588) (multiplicity 1)
Ni (0.403, 0.041, 0.234) (multiplicity 1)
Ni (0.732, 0.503, 0.815) (multiplicity 1)
Ni (0.849, 0.755, 0.396) (multiplicity 1)
Ni (0.890, 0.163, 0.315) (multiplicity 1)
Pd (0.212, 0.342, 0.939) (multiplicity 1)
Pd (0.445, 0.860, 0.691) (multiplicity 1)

The 8 most intense peaks (10° ≤ 2θ ≤ 80°), sorted by position:
Position (°2θ), d [Å], Rel. int., (hkl)
29.23, 3.055, 30, 0 2 0
32.47, 2.757, 100, 1 -1 2
32.61, 2.746, 22, -1 1 2
33.01, 2.714, 53, 2 -1 1
33.18, 2.700, 35, -2 1 2
33.88, 2.646, 22, -2 2 1
38.50, 2.338, 41, 1 2 -3
39.28, 2.294, 31, 3 0 -2

***

[9]
Diffraction record for Dy7Ni2Pd2. The XRD peak list is calculated, not measured: it uses a DFT-relaxed cell (GGA-PBE, Alexandria) and Cu Ka.
Kinematic intensities with the Lorentz-polarization factor, no thermal factor.

Cell and atoms:
Cell: 3.712 15.371 9.429 Å, 90.00 90.00 90.00°
Space group Imm2 (No. 44)
One atom of each set of equivalent atoms:
Dy (0.000, 0.000, 0.000) (multiplicity 2)
Dy (0.000, 0.118, 0.384) (multiplicity 4)
Dy (0.000, 0.305, 0.588) (multiplicity 4)
Dy (0.000, 0.373, 0.236) (multiplicity 4)
Ni (0.000, 0.240, 0.884) (multiplicity 4)
Pd (0.000, 0.000, 0.628) (multiplicity 2)
Pd (0.000, 0.500, 0.728) (multiplicity 2)

The 8 most intense peaks (10° ≤ 2θ ≤ 80°), sorted by position:
Position (°2θ), d [Å], Rel. int., (hkl)
29.00, 3.079, 26, 0 1 3
30.59, 2.923, 36, 0 5 1
31.22, 2.865, 49, 1 1 2
33.45, 2.679, 45, 0 3 3
34.93, 2.569, 100, 1 4 1
35.41, 2.535, 42, 1 3 2
39.35, 2.290, 26, 1 2 3
49.09, 1.856, 30, 2 0 0

***

[10]
Diffraction record for Dy12NiPd6. The XRD peak list is calculated, not measured: it uses a DFT-relaxed cell (GGA-PBE, Alexandria) and Cu Ka.
Kinematic intensities with the Lorentz-polarization factor, no thermal factor.

Cell and atoms:
Cell: 12.4428 12.4428 11.7448 Å, 90.00 90.00 120.00°
Space group R-3 (No. 148, hexagonal axes)
One atom of each set of equivalent atoms:
Dy (0.0256, 0.2089, 0.3907) (multiplicity 18)
Dy (0.0411, 0.1987, 0.8816) (multiplicity 18)
Ni (0.0000, 0.0000, 0.0000) (multiplicity 3)
Pd (0.0437, 0.2684, 0.6456) (multiplicity 18)

The 8 most intense peaks (10° ≤ 2θ ≤ 80°), sorted by position:
Position (°2θ), d [Å], Rel. int., (hkl)
23.11, 3.848, 49, 2 1 1
26.64, 3.347, 82, 3 -2 2
28.70, 3.111, 31, 2 2 0
31.58, 2.833, 57, 1 0 4
33.65, 2.664, 74, 3 1 2
37.77, 2.382, 94, 2 1 4
38.28, 2.351, 100, 1 4 0
55.46, 1.657, 27, 4 -2 6

***

[11]
Diffraction record for PmDyNiRu. The XRD peak list is calculated, not measured: it uses a DFT-relaxed cell (GGA-PBE, Alexandria) and Cu Ka.
Kinematic intensities with the Lorentz-polarization factor, no thermal factor.

Cell and atoms:
Cell: 6.876 6.876 6.876 Å, 90.00 90.00 90.00°
Space group F-43m (No. 216)
One atom of each set of equivalent atoms:
Pm (0.000, 0.000, 0.000) (multiplicity 4)
Dy (0.000, 0.000, 0.500) (multiplicity 4)
Ni (0.250, 0.250, 0.250) (multiplicity 4)
Ru (0.250, 0.250, 0.750) (multiplicity 4)

The 8 most intense peaks (10° ≤ 2θ ≤ 80°), sorted by position:
Position (°2θ), d [Å], Rel. int., (hkl)
22.40, 3.970, 2, 1 1 1
25.92, 3.438, 10, 2 0 0
36.98, 2.431, 100, 2 2 0
45.71, 1.985, 3, 2 2 2
53.30, 1.719, 17, 4 0 0
60.19, 1.537, 4, 4 2 0
66.64, 1.403, 35, 4 2 2
78.73, 1.215, 11, 4 4 0

***

Please write out number 10 again, unchanged.
Diffraction record for Dy12NiPd6. The XRD peak list is calculated, not measured: it uses a DFT-relaxed cell (GGA-PBE, Alexandria) and Cu Ka.
Kinematic intensities with the Lorentz-polarization factor, no thermal factor.

Cell and atoms:
Cell: 12.4428 12.4428 11.7448 Å, 90.00 90.00 120.00°
Space group R-3 (No. 148, hexagonal axes)
One atom of each set of equivalent atoms:
Dy (0.0256, 0.2089, 0.3907) (multiplicity 18)
Dy (0.0411, 0.1987, 0.8816) (multiplicity 18)
Ni (0.0000, 0.0000, 0.0000) (multiplicity 3)
Pd (0.0437, 0.2684, 0.6456) (multiplicity 18)

The 8 most intense peaks (10° ≤ 2θ ≤ 80°), sorted by position:
Position (°2θ), d [Å], Rel. int., (hkl)
23.11, 3.848, 49, 2 1 1
26.64, 3.347, 82, 3 -2 2
28.70, 3.111, 31, 2 2 0
31.58, 2.833, 57, 1 0 4
33.65, 2.664, 74, 3 1 2
37.77, 2.382, 94, 2 1 4
38.28, 2.351, 100, 1 4 0
55.46, 1.657, 27, 4 -2 6

***

Which formula does entry 1 have?
Dy2NiOs3